For TbPm2YHo5, a PBE-relaxed structure gives the simulated XRD peak list in this record (CuKα).
No peak broadening, texture or thermal motion is included.

Crystal structure
Cell lengths 8.626, 8.626, 15.605 Å; angles 90.00, 90.00, 90.00 degrees
Space group I4/mcm (No. 140)
Inequivalent atoms, fractional coordinates:
Tb1 0.000 0.000 0.250 [4 per cell]
Pm1 0.117 0.383 0.000 [8 per cell]
Y1 0.000 0.500 0.250 [4 per cell]
Ho1 0.000 0.000 0.000 [4 per cell]
Ho2 0.212 0.288 0.361 [16 per cell]

Largest 12 diffraction maxima, sorted by position, 2θ = 10–90°:
- 28.81 deg, d = 3.098 Å, I 50, hkl 2 1 3
- 29.29 deg, d = 3.050 Å, I 51, hkl 2 2 0
- 30.91 deg, d = 2.893 Å, I 100, hkl 2 0 4
- 32.83 deg, d = 2.728 Å, I 19, hkl 3 1 0
- 37.05 deg, d = 2.426 Å, I 11, hkl 2 1 5
- 38.05 deg, d = 2.365 Å, I 17, hkl 3 2 1
- 43.65 deg, d = 2.073 Å, I 11, hkl 4 1 1
- 46.56 deg, d = 1.951 Å, I 12, hkl 0 0 8
- 46.81 deg, d = 1.941 Å, I 11, hkl 4 1 3
- 52.96 deg, d = 1.729 Å, I 22, hkl 4 2 4
- 55.96 deg, d = 1.643 Å, I 13, hkl 2 2 8
- 60.72 deg, d = 1.525 Å, I 15, hkl 4 4 0

For Pa2AlGa3, a PBE-relaxed structure gives the simulated XRD peak list in this record (CuKα).
No peak broadening, texture or thermal motion is included.

Crystal structure
Cell lengths 5.238, 5.787, 7.994 Å; angles 90.00, 90.00, 90.00 degrees
Space group Pmma (No. 51)
Inequivalent atoms, fractional coordinates:
Pa1 0.250 0.000 0.086 [2 per cell]
Pa2 0.250 0.500 0.373 [2 per cell]
Al1 0.250 0.000 0.455 [2 per cell]
Ga1 0.000 0.500 0.000 [2 per cell]
Ga2 0.250 0.246 0.740 [4 per cell]

Largest 12 diffraction maxima, sorted by position, 2θ = 10–90°:
- 18.93 deg, d = 4.688 Å, I 66, hkl 0 1 1
- 20.27 deg, d = 4.381 Å, I 17, hkl 1 0 1
- 30.90 deg, d = 2.894 Å, I 27, hkl 0 2 0
- 32.13 deg, d = 2.785 Å, I 100, hkl 1 1 2
- 34.24 deg, d = 2.619 Å, I 38, hkl 2 0 0
- 37.22 deg, d = 2.416 Å, I 89, hkl 1 2 1
- 37.88 deg, d = 2.375 Å, I 57, hkl 1 0 3
- 38.40 deg, d = 2.344 Å, I 22, hkl 0 2 2
- 39.41 deg, d = 2.286 Å, I 55, hkl 2 1 1
- 55.74 deg, d = 1.649 Å, I 22, hkl 1 3 2
- 60.00 deg, d = 1.542 Å, I 27, hkl 0 1 5
- 67.22 deg, d = 1.393 Å, I 22, hkl 2 2 4